# 1
Dy2Tm2Al3: computed powder XRD pattern (a wavelength of 1.5418 Å), based on a DFT-relaxed cell (GGA-PBE, OQMD).
No peak broadening, texture or thermal motion is included.

Crystal structure
abc: 11.7689 4.9534 6.6044
angles: 90.00 112.89 90.00
Space group C2/m (No. 12)
Unique sites:
Dy 0.0402 0.0000 0.2784 [4 per cell]
Tm 0.1845 0.5000 0.8005 [4 per cell]
Al 0.0000 0.5000 0.0000 [2 per cell]
Al 0.2176 0.5000 0.3376 [4 per cell]

Top 12 peaks for 10 to 90 degrees two-theta, in order of falling intensity:
two_theta, Rel. int., hkl
35.29, 1000, 3 1 -2
30.62, 920, 3 1 0
26.45, 856, 1 1 1
29.36, 539, 0 0 2
36.27, 520, 0 2 0
30.44, 413, 4 0 -1
47.33, 293, 0 2 2
38.28, 272, 1 1 2
22.58, 268, 1 1 -1
48.06, 236, 4 2 -1
41.41, 225, 4 0 1
64.60, 209, 3 3 -2

# 2
DyYAl: computed powder XRD pattern (a wavelength of 1.5418 Å), based on a DFT-relaxed cell (GGA-PBE, OQMD).
No peak broadening, texture or thermal motion is included.

Crystal structure
abc: 7.1759 7.1759 7.1759
angles: 90.00 90.00 90.00
Space group F-43m (No. 216)
Unique sites:
Dy 0.0000 0.0000 0.0000 [4 per cell]
Y 0.2500 0.2500 0.7500 [4 per cell]
Al 0.0000 0.0000 0.5000 [4 per cell]

Top 12 peaks for 10 to 90 degrees two-theta, in order of falling intensity:
two_theta, Rel. int., hkl
35.38, 1000, 2 2 0
21.45, 796, 1 1 1
41.75, 425, 3 1 1
63.51, 359, 4 2 2
55.85, 181, 3 3 1
50.90, 176, 4 0 0
85.60, 158, 6 2 0
24.82, 149, 2 0 0
67.87, 133, 5 1 1
78.93, 131, 5 3 1
74.85, 111, 4 4 0
57.43, 62, 4 2 0

# 3
ErAl2: computed powder XRD pattern (a wavelength of 1.5418 Å), based on a DFT-relaxed cell (GGA-PBE, OQMD).
No peak broadening, texture or thermal motion is included.

Crystal structure
abc: 7.8201 7.8201 7.8201
angles: 90.00 90.00 90.00
Space group Fd-3m (No. 227, origin choice 2)
Unique sites:
Er 0.1250 0.1250 0.1250 [8 per cell]
Al 0.0000 0.0000 0.5000 [16 per cell]

Top 12 peaks for 10 to 90 degrees two-theta, in order of falling intensity:
two_theta, Rel. int., hkl
32.38, 1000, 2 2 0
38.17, 973, 3 1 1
19.66, 651, 1 1 1
57.76, 388, 4 2 2
61.63, 320, 5 1 1
67.79, 209, 4 4 0
50.90, 169, 3 3 1
77.14, 167, 6 2 0
71.35, 124, 5 3 1
80.55, 112, 5 3 3
46.45, 85, 4 0 0
89.50, 73, 7 1 1

# 4
Er3Al2: computed powder XRD pattern (a wavelength of 1.5418 Å), based on a DFT-relaxed cell (GGA-PBE, OQMD).
No peak broadening, texture or thermal motion is included.

Crystal structure
abc: 8.1546 8.1546 7.5360
angles: 90.00 90.00 90.00
Space group P4_2/mnm (No. 136)
Unique sites:
Er 0.0000 0.5000 0.2500 [4 per cell]
Er 0.1508 0.1508 0.0000 [4 per cell]
Er 0.2012 0.2012 0.5000 [4 per cell]
Al 0.1193 0.8807 0.3031 [8 per cell]

Top 12 peaks for 10 to 90 degrees two-theta, in order of falling intensity:
two_theta, Rel. int., hkl
32.35, 1000, 2 0 2
34.22, 827, 2 1 2
34.79, 673, 3 1 0
24.41, 520, 2 1 0
28.29, 507, 1 1 2
31.02, 378, 2 2 0
53.52, 314, 3 3 2
60.90, 238, 3 1 4
36.84, 232, 3 1 1
52.24, 209, 4 1 2
48.31, 167, 0 0 4
45.88, 166, 4 1 0

# 5
Er2AlGaFe4: computed powder XRD pattern (a wavelength of 1.5418 Å), based on a DFT-relaxed cell (GGA-PBE, OQMD).
No peak broadening, texture or thermal motion is included.

Crystal structure
abc: 3.9337 4.9292 6.8023
angles: 90.00 90.00 90.00
Space group Pmm2 (No. 25)
Unique sites:
Er 0.0000 0.0000 0.0000 [1 per cell]
Er 0.0000 0.5000 0.3775 [1 per cell]
Al 0.5000 0.0000 0.3586 [1 per cell]
Ga 0.5000 0.5000 0.0289 [1 per cell]
Fe 0.0000 0.0000 0.5922 [1 per cell]
Fe 0.0000 0.5000 0.7857 [1 per cell]
Fe 0.5000 0.2504 0.6893 [2 per cell]

Top 12 peaks for 10 to 90 degrees two-theta, in order of falling intensity:
two_theta, Rel. int., hkl
31.95, 1000, 1 1 1
39.51, 755, 1 1 2
43.32, 339, 1 2 0
46.15, 293, 2 0 0
39.75, 242, 0 0 3
36.46, 237, 0 2 0
45.44, 236, 0 2 2
22.60, 225, 1 0 0
34.87, 214, 1 0 2
60.22, 210, 2 2 0
22.27, 206, 0 1 1
67.66, 149, 1 3 2

# 6
Er4AlFe2Ge4: computed powder XRD pattern (a wavelength of 1.5418 Å), based on a DFT-relaxed cell (GGA-PBE, OQMD).
No peak broadening, texture or thermal motion is included.

Crystal structure
abc: 15.1900 4.1997 6.8544
angles: 90.00 106.76 90.00
Space group C2/m (No. 12)
Unique sites:
Er 0.0903 0.0000 0.3873 [4 per cell]
Er 0.1511 0.0000 0.9409 [4 per cell]
Al 0.0000 0.5000 0.0000 [2 per cell]
Fe 0.2208 0.5000 0.6307 [4 per cell]
Ge 0.0670 0.5000 0.6649 [4 per cell]
Ge 0.2054 0.5000 0.2697 [4 per cell]

Top 12 peaks for 10 to 90 degrees two-theta, in order of falling intensity:
two_theta, Rel. int., hkl
35.44, 1000, 3 1 -2
36.65, 825, 1 1 2
33.60, 769, 3 1 1
43.08, 560, 0 2 0
36.83, 495, 5 1 -1
37.61, 330, 5 1 0
35.59, 309, 6 0 -1
22.03, 301, 1 1 0
59.04, 216, 9 1 -1
41.27, 214, 0 0 3
39.33, 199, 6 0 -2
24.48, 192, 4 0 0

# 7
HoErAl4Fe2: computed powder XRD pattern (a wavelength of 1.5418 Å), based on a DFT-relaxed cell (GGA-PBE, OQMD).
No peak broadening, texture or thermal motion is included.

Crystal structure
abc: 7.0759 3.9831 10.0136
angles: 90.00 90.00 90.00
Space group Amm2 (No. 38)
Unique sites:
Ho 0.0000 0.0000 0.0000 [2 per cell]
Er 0.5000 0.0000 0.8788 [2 per cell]
Al 0.1935 0.0000 0.2822 [4 per cell]
Al 0.3075 0.0000 0.5967 [4 per cell]
Fe 0.0000 0.0000 0.7241 [2 per cell]
Fe 0.5000 0.0000 0.1549 [2 per cell]

Top 12 peaks for 10 to 90 degrees two-theta, in order of falling intensity:
two_theta, Rel. int., hkl
35.09, 1000, 2 1 1
37.38, 863, 1 1 3
24.05, 612, 0 1 1
52.78, 511, 3 1 3
38.13, 508, 1 0 4
25.17, 503, 2 0 0
60.86, 254, 1 2 4
45.55, 250, 0 2 0
21.74, 207, 1 0 2
57.77, 159, 4 1 1
65.47, 151, 3 1 5
42.36, 133, 3 0 2

# 8
ErLuAl2Fe4: computed powder XRD pattern (a wavelength of 1.5418 Å), based on a DFT-relaxed cell (GGA-PBE, OQMD).
No peak broadening, texture or thermal motion is included.

Crystal structure
abc: 3.9350 4.8988 6.7603
angles: 90.00 90.00 90.00
Space group Pmm2 (No. 25)
Unique sites:
Er 0.0000 0.0000 0.0000 [1 per cell]
Lu 0.0000 0.5000 0.6180 [1 per cell]
Al 0.5000 0.0000 0.6477 [1 per cell]
Al 0.5000 0.5000 0.9735 [1 per cell]
Fe 0.0000 0.0000 0.4110 [1 per cell]
Fe 0.0000 0.5000 0.2150 [1 per cell]
Fe 0.5000 0.2511 0.3125 [2 per cell]

Top 12 peaks for 10 to 90 degrees two-theta, in order of falling intensity:
two_theta, Rel. int., hkl
32.04, 1000, 1 1 1
39.68, 979, 1 1 2
43.52, 676, 1 2 0
22.60, 555, 1 0 0
22.41, 552, 0 1 1
32.17, 492, 0 1 2
34.99, 425, 1 0 2
46.14, 413, 2 0 0
62.73, 330, 2 0 3
40.01, 312, 0 0 3
36.69, 312, 0 2 0
45.75, 270, 0 2 2

# 9
ErTmAl2Fe4: computed powder XRD pattern (a wavelength of 1.5418 Å), based on a DFT-relaxed cell (GGA-PBE, OQMD).
No peak broadening, texture or thermal motion is included.

Crystal structure
abc: 3.9276 4.9149 6.7757
angles: 90.00 90.00 90.00
Space group Pmm2 (No. 25)
Unique sites:
Er 0.0000 0.0000 0.0000 [1 per cell]
Tm 0.0000 0.5000 0.6184 [1 per cell]
Al 0.5000 0.0000 0.6443 [1 per cell]
Al 0.5000 0.5000 0.9746 [1 per cell]
Fe 0.0000 0.0000 0.4075 [1 per cell]
Fe 0.0000 0.5000 0.2124 [1 per cell]
Fe 0.5000 0.2502 0.3099 [2 per cell]

Top 12 peaks for 10 to 90 degrees two-theta, in order of falling intensity:
two_theta, Rel. int., hkl
32.04, 1000, 0 1 2
39.63, 659, 1 1 2
43.44, 456, 1 2 0
22.64, 365, 1 0 0
22.35, 361, 0 1 1
34.98, 280, 1 0 2
46.23, 276, 2 0 0
45.59, 223, 0 2 2
62.67, 221, 2 0 3
39.92, 212, 0 0 3
36.57, 210, 0 2 0
50.15, 149, 1 1 3

# 10
YErAl4Fe2: computed powder XRD pattern (a wavelength of 1.5418 Å), based on a DFT-relaxed cell (GGA-PBE, OQMD).
No peak broadening, texture or thermal motion is included.

Crystal structure
abc: 7.0710 3.9903 10.0687
angles: 90.00 90.00 90.00
Space group Amm2 (No. 38)
Unique sites:
Y 0.0000 0.0000 0.0000 [2 per cell]
Er 0.5000 0.0000 0.1235 [2 per cell]
Al 0.1954 0.0000 0.7178 [4 per cell]
Al 0.3073 0.0000 0.4056 [4 per cell]
Fe 0.0000 0.0000 0.2777 [2 per cell]
Fe 0.5000 0.0000 0.8463 [2 per cell]

Top 12 peaks for 10 to 90 degrees two-theta, in order of falling intensity:
two_theta, Rel. int., hkl
37.25, 1000, 1 1 3
35.06, 991, 2 1 1
37.94, 574, 1 0 4
23.99, 567, 0 1 1
25.19, 520, 2 0 0
52.70, 440, 3 1 3
45.46, 285, 0 2 0
60.66, 282, 1 2 4
21.67, 199, 1 0 2
65.27, 171, 3 1 5
12.52, 157, 1 0 0
57.77, 155, 4 1 1

# 11
ErAlGa4Ir: computed powder XRD pattern (a wavelength of 1.5418 Å), based on a DFT-relaxed cell (GGA-PBE, OQMD).
No peak broadening, texture or thermal motion is included.

Crystal structure
abc: 4.3337 4.3337 6.8041
angles: 90.00 90.00 90.00
Space group P4/mmm (No. 123)
Unique sites:
Er 0.0000 0.0000 0.0000 [1 per cell]
Al 0.5000 0.5000 0.0000 [1 per cell]
Ga 0.0000 0.5000 0.2993 [4 per cell]
Ir 0.0000 0.0000 0.5000 [1 per cell]

Top 12 peaks for 10 to 90 degrees two-theta, in order of falling intensity:
two_theta, Rel. int., hkl
39.58, 1000, 1 1 2
20.49, 735, 1 0 0
41.68, 511, 2 0 0
33.49, 437, 1 0 2
74.67, 305, 3 1 2
54.49, 223, 2 1 2
46.88, 173, 2 1 0
60.42, 169, 2 2 0
70.36, 108, 2 0 4
58.27, 91, 1 0 4
74.17, 90, 2 1 4
85.71, 79, 0 0 6

# 12
ErAl2Ga2Ni: computed powder XRD pattern (a wavelength of 1.5418 Å), based on a DFT-relaxed cell (GGA-PBE, OQMD).
No peak broadening, texture or thermal motion is included.

Crystal structure
abc: 4.0454 15.1403 6.6705
angles: 90.00 90.00 90.00
Space group Cmcm (No. 63)
Unique sites:
Er 0.0000 0.1178 0.2500 [4 per cell]
Al 0.0000 0.3118 0.0530 [8 per cell]
Ga 0.0000 0.0723 0.7500 [4 per cell]
Ga 0.0000 0.5000 0.0000 [4 per cell]
Ni 0.0000 0.2266 0.7500 [4 per cell]

Top 12 peaks for 10 to 90 degrees two-theta, in order of falling intensity:
two_theta, Rel. int., hkl
35.38, 1000, 1 1 2
37.09, 381, 1 5 0
39.55, 350, 1 5 1
38.13, 313, 0 6 1
44.81, 288, 2 0 0
35.89, 234, 0 4 2
26.73, 221, 0 0 2
31.35, 208, 1 3 1
28.27, 201, 1 3 0
45.05, 199, 0 6 2
55.06, 198, 0 0 4
60.27, 198, 2 6 1